Entry 1:
This entry pairs a crystal structure of La2PrYTm5 with its simulated X-ray diffraction stick pattern. Radiation: Cu Kα (weighted mean of Kα1 and Kα2). Structure: a PBE-relaxed structure.

Cell and atoms:
```
18
Lattice="-4.3445 4.3445 7.7995 4.3445 -4.3445 7.7995 4.3445 4.3445 -7.7995" Properties=species:S:1:pos:R:3 pbc="T T T"
La 5.3593 1.0148 0.0000
La 1.0148 3.3298 0.0000
La 3.3298 1.0148 7.7995
La -1.0148 3.3298 7.7995
Pr 0.0000 0.0000 3.8997
Pr 0.0000 0.0000 11.6992
Y 4.3445 0.0000 3.8997
Y 0.0000 4.3445 3.8997
Tm 0.0000 0.0000 0.0000
Tm 2.4761 1.8684 -2.1866
Tm 2.4761 -1.8684 5.6129
Tm 2.4761 1.8684 2.1866
Tm 2.4761 -1.8684 9.9861
Tm 0.0000 0.0000 7.7995
Tm 1.8684 6.2130 -2.1866
Tm 1.8684 2.4761 5.6129
Tm 1.8684 6.2130 2.1866
Tm 1.8684 2.4761 9.9861
```

The 6 most intense peaks (10 to 80 degrees two-theta), most intense first:
| 2theta | I_rel |
| --- | --- |
| 30.8 | 100.0 |
| 29.1 | 53.6 |
| 28.7 | 44.5 |
| 52.6 | 24.4 |
| 46.5 | 21.7 |
| 55.8 | 18.4 |



Entry 2:
This entry pairs a crystal structure of Sm2DyEr12 with its simulated X-ray diffraction stick pattern. Radiation: Cu Kα (weighted mean of Kα1 and Kα2). Structure: a PBE-relaxed structure.

Cell and atoms:
```
30
Lattice="3.5496 -5.5626 0.0000 3.5496 5.5626 0.0000 -1.7609 0.0000 23.8816" Properties=species:S:1:pos:R:3 pbc="T T T"
Sm -0.0014 0.0000 6.6564
Sm 1.7787 0.0000 17.1639
Sm 3.5597 0.0000 6.7177
Sm 5.3398 0.0000 17.2252
Dy 0.0120 0.0000 23.8813
Dy 5.3264 0.0000 0.0003
Er -0.0014 0.0000 3.1875
Er 1.7768 2.7810 4.5790
Er 1.7814 2.7750 7.8768
Er -0.0166 0.0000 13.7108
Er 1.7799 2.7472 13.2586
Er 1.7845 2.7576 22.2987
Er 3.5539 2.7576 1.5830
Er 1.7628 0.0000 10.2296
Er 3.5585 2.7472 10.6230
Er 3.5570 2.7750 16.0048
Er 3.5616 2.7810 19.3026
Er 1.7870 0.0000 20.6314
Er 3.5514 0.0000 3.2502
Er 1.7768 -2.7810 4.5790
Er 1.7814 -2.7750 7.8768
Er 1.7799 -2.7472 13.2586
Er 3.5757 0.0000 13.6520
Er 1.7845 -2.7576 22.2987
Er 3.5539 -2.7576 1.5830
Er 3.5585 -2.7472 10.6230
Er 5.3550 0.0000 10.1709
Er 3.5570 -2.7750 16.0048
Er 3.5616 -2.7810 19.3026
Er 5.3398 0.0000 20.6941
```

The 6 most intense peaks (10 to 80 degrees two-theta), most intense first:
| 2theta | I_rel |
| --- | --- |
| 31.3 | 100.0 |
| 32.2 | 79.4 |
| 30.7 | 64.1 |
| 34.4 | 51.6 |
| 34.1 | 41.9 |
| 32.6 | 40.1 |



Entry 3:
This entry pairs a crystal structure of La8HRu3Br4 with its simulated X-ray diffraction stick pattern. Radiation: Cu Kα (weighted mean of Kα1 and Kα2). Structure: a PBE-relaxed structure.

Cell and atoms:
```
16
Lattice="7.0954 -4.0881 0.0000 7.0954 4.0881 0.0000 -4.7376 0.0000 7.9741" Properties=species:S:1:pos:R:3 pbc="T T T"
La 3.5306 2.0654 5.5327
La -0.0051 0.0000 5.6011
La 2.3368 0.0000 2.4395
La 5.9227 2.0654 2.4413
La 3.5306 -2.0654 5.5327
La 7.1164 0.0000 5.5346
La 9.4584 0.0000 2.3730
La 5.9227 -2.0654 2.4413
H 4.7266 0.0000 3.9870
Ru -2.3688 0.0000 3.9870
Ru 1.1789 2.0440 3.9870
Ru 1.1789 -2.0440 3.9870
Br 0.0000 0.0000 0.0000
Br 3.5477 2.0440 0.0000
Br 3.5477 -2.0440 0.0000
Br 7.0954 0.0000 0.0000
```

The 6 most intense peaks (10 to 80 degrees two-theta), most intense first:
| 2theta | I_rel |
| --- | --- |
| 29.3 | 100.0 |
| 44.3 | 36.4 |
| 39.4 | 29.2 |
| 11.1 | 14.5 |
| 72.2 | 12.8 |
| 36.5 | 12.1 |